The following is a calculated powder diffraction line list of KFeBiWO6. It was derived from a cell relaxed with GGA+U, using Cu Kα (weighted mean of Kα1 and Kα2).
Kinematic intensities with the Lorentz-polarization factor, no thermal factor.

Crystal structure
a = 8.005 Å, b = 8.005 Å, c = 8.005 Å
α = 90.00°, β = 90.00°, γ = 90.00°
Space group F-43m (No. 216)
Inequivalent atoms, fractional coordinates:
1 K 0.000 0.000 0.000
2 Fe 0.250 0.250 0.250
3 Bi 0.000 0.000 0.500
4 W 0.250 0.250 0.750
5 O 0.005 0.250 0.750

Most intense lines, 2θ = 15–90°, in order of rising 2θ:
2θ 19.21, rel. 45, hkl 1 1 1; 2θ 31.62, rel. 100, hkl 2 2 0; 2θ 37.26, rel. 27, hkl 3 1 1; 2θ 45.32, rel. 30, hkl 4 0 0; 2θ 49.65, rel. 12, hkl 3 3 1; 2θ 56.31, rel. 40, hkl 4 2 2; 2θ 60.06, rel. 10, hkl 5 1 1; 2θ 66.02, rel. 18, hkl 4 4 0; 2θ 69.47, rel. 10, hkl 5 3 1; 2θ 75.05, rel. 17, hkl 6 2 0